For LiFe2Si2O8, the GGA+U geometry in the Materials Project gives the theoretical powder diffraction line list in this record (CuKα).
Lines closer than 0.1° are merged.

Largest 10 diffraction maxima, by intensity, 5 to 70 degrees two-theta:
2θ/deg	I/Imax
21.27	100
21.37	83
25.12	72
31.13	59
31.27	53
20.20	39
24.96	37
33.27	33
33.30	33
33.53	33

Cell and atoms:
abc: 8.772 8.786 8.790
angles: 108.59 107.99 107.43
Element x y z (fractional)
Li 0.000 0.000 0.000
Li 0.172 0.599 0.224
Li 0.476 0.315 0.707
Fe 0.075 0.444 0.498
Fe 0.140 0.971 0.381
Fe 0.373 0.164 0.985
Fe 0.559 0.753 0.197
Fe 0.660 0.676 0.666
Fe 0.831 0.261 0.898
Si 0.037 0.826 0.643
Si 0.217 0.411 0.873
Si 0.318 0.332 0.341
Si 0.503 0.930 0.554
Si 0.738 0.115 0.152
Si 0.812 0.642 0.038
O 0.000 0.623 0.523
O 0.016 0.285 0.833
O 0.018 0.926 0.515
O 0.197 0.444 0.351
O 0.217 0.486 0.726
O 0.241 0.930 0.808
O 0.255 0.197 0.132
O 0.289 0.213 0.451
O 0.292 0.857 0.418
O 0.317 0.579 0.079
O 0.336 0.296 0.856
O 0.527 0.479 0.440
O 0.533 0.812 0.664
O 0.595 0.143 0.701
O 0.603 0.892 0.427
O 0.604 0.208 0.112
O 0.614 0.909 0.102
O 0.677 0.572 0.827
O 0.686 0.628 0.144
O 0.840 0.119 0.023
O 0.884 0.217 0.363
O 0.900 0.828 0.736
O 0.902 0.505 0.056
O 0.973 0.847 0.132